The following is a calculated XRD peak list of K2MgV2O6. It was derived from a crystal structure in Alexandria, relaxed with PBE+U, using copper Kα.

Peak list (12 most intense, 2θ = 10–90°, most intense first)
d 2.851, I = 100; d 2.953, I = 98; d 1.684, I = 35; d 2.861, I = 34; d 2.052, I = 30; d 1.476, I = 28; d 1.311, I = 25; d 2.197, I = 24; d 4.901, I = 24; d 1.602, I = 21; d 4.394, I = 18; d 1.705, I = 17

Structural model:
```
11
Lattice="2.9527 1.7047 5.7226 -2.9527 1.7047 5.7226 0.0000 -3.4094 5.7226" Properties=species:S:1:pos:R:3 pbc="T T T"
K 0.0000 0.0000 3.6886
K 0.0000 0.0000 13.4793
Mg 0.0000 0.0000 0.0000
V 0.0000 0.0000 7.2688
V 0.0000 0.0000 9.8991
O 0.0000 -1.6946 6.9792
O -1.4676 0.8473 6.9792
O -1.4676 -0.8473 10.1887
O 1.4676 0.8473 6.9792
O 1.4676 -0.8473 10.1887
O 0.0000 1.6946 10.1887
```